Record 1
This entry pairs a crystal structure of Mg2Ni5As3 with its theoretical powder XRD pattern. Radiation: Cu Kα. Structure: DFT lattice parameters and positions (GGA-PBE).
Peak positions follow from Bragg's law for the DFT cell and can differ from measured ones.

Top 10 peaks for 10 to 80 degrees two-theta, in order of rising 2θ:
| two_theta | d (Å) | I/Imax |
| --- | --- | --- |
| 21.1 | 4.208 | 41 |
| 24.3 | 3.657 | 40 |
| 27.9 | 3.194 | 32 |
| 37.6 | 2.390 | 56 |
| 39.1 | 2.303 | 54 |
| 43.5 | 2.078 | 54 |
| 45.7 | 1.984 | 73 |
| 46.1 | 1.968 | 52 |
| 49.2 | 1.853 | 100 |
| 52.1 | 1.755 | 33 |

Structure:
Lattice parameters (Å, degrees): 11.1477 11.1477 6.5605 90.00 90.00 159.49
Atoms (fractional coordinates):
Mg1 0.0191 0.9809 0.5000
Mg2 0.3244 0.6756 0.5380
Mg3 0.6756 0.3244 0.0380
Mg4 0.9809 0.0191 0.0000
Ni1 0.0965 0.9035 0.8945
Ni2 0.2083 0.7917 0.4007
Ni3 0.2224 0.7776 0.7993
Ni4 0.3760 0.6240 0.9595
Ni5 0.4455 0.5545 0.6410
Ni6 0.5545 0.4455 0.1410
Ni7 0.6240 0.3760 0.4595
Ni8 0.7776 0.2224 0.2993
Ni9 0.7917 0.2083 0.9007
Ni10 0.9035 0.0965 0.3945
As1 0.1112 0.8888 0.2458
As2 0.2783 0.7217 0.1072
As3 0.4456 0.5544 0.2618
As4 0.5544 0.4456 0.7618
As5 0.7217 0.2783 0.6072
As6 0.8888 0.1112 0.7458

Record 2
This entry pairs a crystal structure of Rb2MgNiAs2 with its theoretical powder XRD pattern. Radiation: Cu Kα. Structure: DFT lattice parameters and positions (GGA-PBE).
Peak positions follow from Bragg's law for the DFT cell and can differ from measured ones.

Top 10 peaks for 10 to 80 degrees two-theta, in order of rising 2θ:
| two_theta | d (Å) | I/Imax |
| --- | --- | --- |
| 26.6 | 3.353 | 100 |
| 28.9 | 3.088 | 19 |
| 29.3 | 3.045 | 16 |
| 32.7 | 2.735 | 49 |
| 33.6 | 2.666 | 27 |
| 34.0 | 2.639 | 26 |
| 41.7 | 2.168 | 41 |
| 49.8 | 1.830 | 18 |
| 52.4 | 1.745 | 17 |
| 52.7 | 1.737 | 16 |

Structure:
Lattice parameters (Å, degrees): 11.4304 11.4304 11.4304 149.10 44.59 148.66
Atoms (fractional coordinates):
Rb1 0.1469 0.2428 0.3897
Rb2 0.3531 0.7428 0.0959
Rb3 0.6469 0.2572 0.9041
Rb4 0.8531 0.7572 0.6103
Mg1 0.2500 0.2500 0.0000
Mg2 0.7500 0.7500 0.0000
Ni1 0.2500 0.7500 0.5000
Ni2 0.7500 0.2500 0.5000
As1 0.0628 0.7113 0.7741
As2 0.4372 0.2113 0.6486
As3 0.5628 0.7887 0.3514
As4 0.9372 0.2887 0.2259